Record 1
For Ce5In2Ga, DFT lattice parameters and positions (GGA-PBE) gives the calculated powder XRD pattern in this record (CuKα).
Neutral-atom scattering factors, no anomalous dispersion.

Cell: 4.631 4.631 19.274 Å, 90.00 90.00 90.00°
Space group I4/mmm (No. 139)
One atom of each set of equivalent atoms:
1 Ce 0.000 0.000 0.000 (multiplicity 2)
2 Ce 0.000 0.500 0.121 (multiplicity 8)
3 In 0.000 0.000 0.250 (multiplicity 4)
4 Ga 0.000 0.000 0.500 (multiplicity 2)

Main lines, in order of rising 2θ (2θ = 10–80°):
| hkl | 2θ/deg | I/Imax |
| --- | --- | --- |
| 1 1 4 | 33.07 | 100 |
| 0 0 8 | 37.32 | 18 |
| 2 0 0 | 38.89 | 32 |
| 2 0 8 | 55.00 | 23 |
| 1 1 12 | 64.63 | 14 |
| 3 1 4 | 66.76 | 26 |

Record 2
For Ba2AcYS4, DFT lattice parameters and positions (GGA-PBE) gives the calculated powder XRD pattern in this record (CuKα).
Neutral-atom scattering factors, no anomalous dispersion.

Cell: 7.410 4.278 7.600 Å, 90.00 108.85 90.00°
Space group P2/m (No. 10)
One atom of each set of equivalent atoms:
1 Ba 0.000 0.000 0.000 (multiplicity 1)
2 Ba 0.500 0.500 0.000 (multiplicity 1)
3 Ac 0.000 0.500 0.500 (multiplicity 1)
4 Y 0.500 0.000 0.500 (multiplicity 1)
5 S 0.257 0.000 0.723 (multiplicity 2)
6 S 0.276 0.500 0.285 (multiplicity 2)

Main lines, in order of rising 2θ (2θ = 10–80°):
| hkl | 2θ/deg | I/Imax |
| --- | --- | --- |
| 0 0 2 | 24.76 | 20 |
| 2 0 0 | 25.42 | 55 |
| 1 1 1 | 29.24 | 100 |
| 1 1 -3 | 41.41 | 37 |
| 0 2 0 | 42.25 | 36 |
| 3 1 1 | 49.59 | 20 |

Record 3
For Sn4SF6, DFT lattice parameters and positions (GGA-PBE) gives the calculated powder XRD pattern in this record (CuKα).
Neutral-atom scattering factors, no anomalous dispersion.

Cell: 8.8419 8.8419 9.9242 Å, 90.00 90.00 120.00°
Space group R3 (No. 146, hexagonal axes)
One atom of each set of equivalent atoms:
1 Sn 0.0000 0.0000 0.0000 (multiplicity 3)
2 Sn 0.0053 0.5041 0.0046 (multiplicity 9)
3 S 0.0000 0.0000 0.4277 (multiplicity 3)
4 F 0.0416 0.8275 0.1387 (multiplicity 9)
5 F 0.0575 0.3774 0.5826 (multiplicity 9)

Main lines, in order of rising 2θ (2θ = 10–80°):
| hkl | 2θ/deg | I/Imax |
| --- | --- | --- |
| 0 2 1 | 24.93 | 100 |
| 0 0 3 | 26.95 | 25 |
| 2 0 2 | 29.47 | 74 |
| 2 2 0 | 40.82 | 32 |
| 0 2 4 | 43.46 | 29 |
| 4 -2 3 | 49.60 | 40 |

Record 4
For Li2Cu3F11, DFT lattice parameters and positions (GGA-PBE) gives the calculated powder XRD pattern in this record (CuKα).
Neutral-atom scattering factors, no anomalous dispersion.

Cell: 6.035 7.285 9.135 Å, 90.00 98.25 90.00°
Space group P2_1/m (No. 11)
One atom of each set of equivalent atoms:
1 Li 0.156 0.250 0.212 (multiplicity 2)
2 Li 0.161 0.750 0.271 (multiplicity 2)
3 Cu 0.324 0.003 0.866 (multiplicity 4)
4 Cu 0.500 0.000 0.500 (multiplicity 2)
5 F 0.022 0.062 0.836 (multiplicity 4)
6 F 0.212 0.750 0.887 (multiplicity 2)
7 F 0.247 0.057 0.375 (multiplicity 4)
8 F 0.326 0.538 0.660 (multiplicity 4)
9 F 0.361 0.061 0.081 (multiplicity 4)
10 F 0.432 0.750 0.439 (multiplicity 2)
11 F 0.434 0.250 0.836 (multiplicity 2)

Main lines, in order of rising 2θ (2θ = 10–80°):
| hkl | 2θ/deg | I/Imax |
| --- | --- | --- |
| 1 0 0 | 14.83 | 100 |
| 1 0 1 | 18.95 | 42 |
| 1 0 -2 | 22.91 | 79 |
| 0 2 0 | 24.44 | 81 |
| 0 0 3 | 29.65 | 32 |
| 1 2 -2 | 33.74 | 23 |

Record 5
For Ac2Cd3Ge, DFT lattice parameters and positions (GGA-PBE) gives the calculated powder XRD pattern in this record (CuKα).
Neutral-atom scattering factors, no anomalous dispersion.

Cell: 4.364 4.801 8.498 Å, 90.00 90.00 90.00°
Space group Pmm2 (No. 25)
One atom of each set of equivalent atoms:
1 Ac 0.000 0.000 0.000 (multiplicity 1)
2 Ac 0.000 0.500 0.453 (multiplicity 1)
3 Cd 0.500 0.000 0.639 (multiplicity 1)
4 Cd 0.500 0.500 0.141 (multiplicity 1)
5 Cd 0.500 0.500 0.805 (multiplicity 1)
6 Ge 0.500 0.000 0.314 (multiplicity 1)

Main lines, in order of rising 2θ (2θ = 10–80°):
| hkl | 2θ/deg | I/Imax |
| --- | --- | --- |
| 1 0 2 | 29.34 | 48 |
| 1 1 1 | 29.59 | 100 |
| 0 1 3 | 36.84 | 44 |
| 0 2 0 | 37.46 | 24 |
| 1 2 2 | 48.28 | 24 |
| 2 1 3 | 56.59 | 25 |

Record 6
For BaGeP2N6, DFT lattice parameters and positions (GGA-PBE) gives the calculated powder XRD pattern in this record (CuKα).
Neutral-atom scattering factors, no anomalous dispersion.

Cell: 8.586 10.325 5.704 Å, 90.00 110.67 90.00°
Space group C2/c (No. 15)
One atom of each set of equivalent atoms:
1 Ba 0.000 0.183 0.250 (multiplicity 4)
2 Ge 0.000 0.315 0.750 (multiplicity 4)
3 P 0.244 0.068 0.835 (multiplicity 8)
4 N 0.039 0.433 0.032 (multiplicity 8)
5 N 0.176 0.213 0.750 (multiplicity 8)
6 N 0.190 0.015 0.070 (multiplicity 8)

Main lines, in order of rising 2θ (2θ = 10–80°):
| hkl | 2θ/deg | I/Imax |
| --- | --- | --- |
| 2 0 0 | 22.13 | 38 |
| 2 2 0 | 28.16 | 82 |
| 2 2 -1 | 28.46 | 100 |
| 0 0 2 | 33.59 | 39 |
| 2 2 1 | 36.79 | 45 |
| 0 4 1 | 38.75 | 61 |

Record 7
For Pr2Cd12Ag, DFT lattice parameters and positions (GGA-PBE) gives the calculated powder XRD pattern in this record (CuKα).
Neutral-atom scattering factors, no anomalous dispersion.

Cell: 6.411 6.411 18.349 Å, 90.00 90.00 90.00°
Space group P4/nbm (No. 125, origin choice 2)
One atom of each set of equivalent atoms:
1 Pr 0.250 0.750 0.249 (multiplicity 4)
2 Cd 0.000 0.000 0.409 (multiplicity 8)
3 Cd 0.085 0.585 0.069 (multiplicity 8)
4 Cd 0.250 0.250 0.161 (multiplicity 4)
5 Cd 0.250 0.250 0.310 (multiplicity 4)
6 Ag 0.250 0.750 0.500 (multiplicity 2)

Main lines, in order of rising 2θ (2θ = 10–80°):
| hkl | 2θ/deg | I/Imax |
| --- | --- | --- |
| 1 1 4 | 27.67 | 51 |
| 2 0 2 | 29.52 | 100 |
| 2 0 4 | 34.12 | 42 |
| 1 1 6 | 35.41 | 43 |
| 2 2 0 | 39.76 | 95 |
| 2 0 6 | 40.78 | 47 |